Theoretical powder diffractogram of BaLaTcN3 for CuKα, from the GGA-PBE geometry in Alexandria.
Lines closer than 0.1° are merged.

Structure:
Lattice parameters (Å, degrees): 6.2826 6.2826 7.1554 90.00 90.00 120.00
Space group P6_3/mmc (No. 194)
Symmetry-distinct sites (fractional):
Ba  0.3333  0.6667  0.2500 x2
La  0.0000  0.0000  0.0000 x2
Tc  0.3333  0.6667  0.7500 x2
N  0.1643  0.3286  0.7500 x6

Most intense lines, 2θ = 15–90°, by intensity:
2θ 28.41, I 100, hkl 1 1 0; 2θ 29.89, I 84, hkl 1 0 2; 2θ 41.71, I 41, hkl 2 0 2; 2θ 51.24, I 38, hkl 2 1 2; 2θ 59.46, I 25, hkl 1 1 4; 2θ 50.31, I 21, hkl 3 0 0

Theoretical powder diffractogram of BaLa2VN4 for CuKα, from the GGA-PBE geometry in Alexandria.
Lines closer than 0.1° are merged.

Structure:
Lattice parameters (Å, degrees): 3.589 12.833 12.488 90.00 90.00 90.00
Space group Cmcm (No. 63)
Symmetry-distinct sites (fractional):
Ba  0.000  0.090  0.250 x4
La  0.000  0.370  0.041 x8
V  0.000  0.180  0.750 x4
N  0.000  0.000  0.000 x4
N  0.000  0.259  0.632 x8
N  0.000  0.390  0.250 x4

Most intense lines, 2θ = 15–90°, by intensity:
2θ 29.54, I 100, hkl 1 1 2; 2θ 25.51, I 65, hkl 0 2 3; 2θ 35.68, I 54, hkl 1 3 2; 2θ 33.37, I 48, hkl 1 3 1; 2θ 27.81, I 45, hkl 0 4 0; 2θ 28.59, I 39, hkl 0 0 4

Theoretical powder diffractogram of Ba2NaLaTi4O12 for CuKα, from the GGA-PBE geometry in Alexandria.
Lines closer than 0.1° are merged.

Structure:
Lattice parameters (Å, degrees): 5.621 5.621 15.861 90.00 90.00 90.00
Space group I4/mmm (No. 139)
Symmetry-distinct sites (fractional):
Ba  0.000  0.000  0.247 x4
Na  0.000  0.000  0.000 x2
La  0.000  0.000  0.500 x2
Ti  0.000  0.500  0.121 x8
O  0.000  0.500  0.000 x4
O  0.000  0.500  0.250 x4
O  0.244  0.244  0.381 x16

Most intense lines, 2θ = 15–90°, by intensity:
2θ 31.87, I 100, hkl 2 0 0; 2θ 56.78, I 38, hkl 2 0 8; 2θ 45.65, I 25, hkl 2 2 0; 2θ 39.29, I 23, hkl 2 0 4; 2θ 66.60, I 22, hkl 4 0 0; 2θ 16.73, I 13, hkl 1 0 1

Theoretical powder diffractogram of BaNaLa2Se4 for CuKα, from the GGA-PBE geometry in Alexandria.
Lines closer than 0.1° are merged.

Structure:
Lattice parameters (Å, degrees): 8.862 8.896 12.550 90.00 90.00 90.00
Space group Imma (No. 74)
Symmetry-distinct sites (fractional):
Ba  0.250  0.250  0.250 x4
Na  0.000  0.000  0.000 x4
La  0.000  0.000  0.500 x4
La  0.250  0.250  0.750 x4
Se  0.000  0.017  0.746 x8
Se  0.240  0.250  0.509 x8

Most intense lines, 2θ = 15–90°, by intensity:
2θ 28.44, I 100, hkl 2 2 0; 2θ 40.64, I 62, hkl 2 2 4; 2θ 66.64, I 22, hkl 4 4 4; 2θ 50.43, I 13, hkl 4 0 4; 2θ 50.29, I 13, hkl 0 4 4; 2θ 40.73, I 12, hkl 4 0 0

Theoretical powder diffractogram of Ba4La2Ti3Nb2O18 for CuKα, from the GGA-PBE geometry in Alexandria.
Lines closer than 0.1° are merged.

Structure:
Lattice parameters (Å, degrees): 5.7269 5.7269 42.0413 90.00 90.00 120.00
Space group R-3m (No. 166, hexagonal axes)
Symmetry-distinct sites (fractional):
Ba  0.0000  0.0000  0.1397 x6
Ba  0.0000  0.0000  0.3118 x6
La  0.0000  0.0000  0.4145 x6
Ti  0.0000  0.0000  0.2219 x6
Ti  0.0000  0.0000  0.5000 x3
Nb  0.0000  0.0000  0.0536 x6
O  0.0052  0.5026  0.4192 x18
O  0.0074  0.5037  0.1384 x18
O  0.0103  0.5051  0.2998 x18

Most intense lines, 2θ = 15–90°, by intensity:
2θ 29.51, I 100, hkl 0 1 11; 2θ 31.24, I 96, hkl 1 1 0; 2θ 43.50, I 55, hkl 2 0 11; 2θ 54.52, I 36, hkl 1 2 11; 2θ 65.17, I 24, hkl 2 2 0; 2θ 55.60, I 22, hkl 3 0 0

Theoretical powder diffractogram of Ba2La3Ti3NbO15 for CuKα, from the GGA-PBE geometry in Alexandria.
Lines closer than 0.1° are merged.

Structure:
Lattice parameters (Å, degrees): 5.6777 5.6777 23.4447 90.00 90.00 120.00
Space group P3c1 (No. 158)
Symmetry-distinct sites (fractional):
Ba  0.0000  0.0000  0.0000 x2
Ba  0.3333  0.6667  0.4280 x2
La  0.0000  0.0000  0.3143 x2
La  0.3333  0.6667  0.1017 x2
La  0.6667  0.3333  0.2096 x2
Ti  0.0000  0.0000  0.1599 x2
Ti  0.3333  0.6667  0.2582 x2
Ti  0.6667  0.3333  0.0585 x2
Nb  0.6667  0.3333  0.3634 x2
O  0.0003  0.4689  0.0245 x6
O  0.1030  0.3334  0.2129 x6
O  0.3258  0.1230  0.3994 x6
O  0.3344  0.1094  0.6209 x6
O  0.4370  0.0040  0.8026 x6

Most intense lines, 2θ = 15–90°, by intensity:
2θ 29.19, I 100, hkl 1 0 6; 2θ 31.51, I 80, hkl 1 1 0; 2θ 43.49, I 47, hkl 0 2 6; 2θ 54.69, I 35, hkl 2 1 6; 2θ 56.12, I 18, hkl 3 0 0; 2θ 50.25, I 18, hkl 0 1 12